The following is a simulated X-ray powder pattern of V3FeCo2P6O24. It was derived from a structure optimized by DFT (PBE+U), using Cu Ka.

Structural model:
```
V3FeCo2P6O24
1.0
4.3073 2.4868 6.9085
-4.3073 2.4868 6.9085
0.0000 -4.9736 6.9085
V Fe Co P O
3 1 2 6 24
Direct
0.0000 0.0000 0.0000
0.2146 0.2146 0.2146
0.5013 0.5013 0.5013
0.7158 0.7158 0.7158
0.3577 0.3577 0.3577
0.8575 0.8575 0.8575
0.1086 0.8154 0.4004
0.3159 0.6088 0.9017
0.4004 0.1086 0.8154
0.6088 0.9017 0.3159
0.8154 0.4004 0.1086
0.9017 0.3159 0.6088
0.0452 0.8548 0.2401
0.0992 0.2959 0.4451
0.1180 0.7702 0.9178
0.1813 0.9721 0.3540
0.2401 0.0452 0.8548
0.2709 0.6177 0.4154
0.2959 0.4451 0.0992
0.3540 0.1813 0.9721
0.3542 0.5453 0.7416
0.4154 0.2709 0.6177
0.4451 0.0992 0.2959
0.4730 0.6701 0.8667
0.5453 0.7416 0.3542
0.5948 0.9483 0.8063
0.6177 0.4154 0.2709
0.6701 0.8667 0.4730
0.7416 0.3542 0.5453
0.7702 0.9178 0.1180
0.8063 0.5948 0.9483
0.8548 0.2401 0.0452
0.8667 0.4730 0.6701
0.9178 0.1180 0.7702
0.9483 0.8063 0.5948
0.9721 0.3540 0.1813
```

Largest 10 diffraction maxima, low angle first, 2θ from 15° to 90°:
2θ (°)  intensity
20.62  81
24.35  100
25.38  19
32.03  16
33.25  66
36.12  35
47.67  32
49.90  25
56.53  22
63.13  18